Entry 1:
NaI2N2: calculated powder X-ray diffraction pattern (Cu Ka), based on a crystal structure in Alexandria, relaxed with PBE.

Structure:
Cell: 7.334 5.662 9.909 Å, 90.00 91.95 90.00°
Space group C2/m (No. 12)
Unique sites:
Na1 0.000 0.000 0.000 (multiplicity 2)
I1 0.114 0.500 0.145 (multiplicity 4)
N1 0.058 0.000 0.465 (multiplicity 4)

Most intense lines, 10° ≤ 2θ ≤ 90°, by angle:
d = 4.481 Å, 2θ 19.81, rel. 37, hkl 1 1 0
d = 4.115 Å, 2θ 21.60, rel. 100, hkl 1 1 -1
d = 3.476 Å, 2θ 25.63, rel. 27, hkl 2 0 -1
d = 3.301 Å, 2θ 27.01, rel. 25, hkl 0 0 3
d = 3.288 Å, 2θ 27.12, rel. 63, hkl 1 1 2
d = 2.995 Å, 2θ 29.83, rel. 26, hkl 2 0 -2
d = 2.831 Å, 2θ 31.61, rel. 29, hkl 0 2 0
d = 2.632 Å, 2θ 34.07, rel. 29, hkl 1 1 3
d = 2.186 Å, 2θ 41.29, rel. 23, hkl 1 1 -4
d = 2.174 Å, 2θ 41.54, rel. 28, hkl 3 1 1

***

Entry 2:
Na2IN2: calculated powder X-ray diffraction pattern (Cu Ka), based on a crystal structure in Alexandria, relaxed with PBE.

Structure:
Cell: 5.155 5.155 8.268 Å, 90.00 90.00 90.00°
Space group I4/mmm (No. 139)
Unique sites:
Na1 0.000 0.500 0.250 (multiplicity 4)
I1 0.000 0.000 0.000 (multiplicity 2)
N1 0.000 0.000 0.429 (multiplicity 4)

Most intense lines, 10° ≤ 2θ ≤ 90°, by angle:
d = 4.374 Å, 2θ 20.30, rel. 86, hkl 1 0 1
d = 4.134 Å, 2θ 21.49, rel. 18, hkl 0 0 2
d = 3.645 Å, 2θ 24.42, rel. 33, hkl 1 1 0
d = 2.734 Å, 2θ 32.76, rel. 100, hkl 1 1 2
d = 2.577 Å, 2θ 34.81, rel. 47, hkl 2 0 0
d = 2.431 Å, 2θ 36.98, rel. 27, hkl 1 0 3
d = 2.221 Å, 2θ 40.63, rel. 31, hkl 2 1 1
d = 1.822 Å, 2θ 50.05, rel. 15, hkl 2 2 0
d = 1.768 Å, 2θ 51.69, rel. 21, hkl 2 1 3
d = 1.516 Å, 2θ 61.11, rel. 30, hkl 3 1 2

***

Entry 3:
NaNd4I7N2: calculated powder X-ray diffraction pattern (Cu Ka), based on a crystal structure in Alexandria, relaxed with PBE.

Structure:
Cell: 14.846 11.296 12.074 Å, 90.00 90.00 90.00°
Space group Pna2_1 (No. 33)
Unique sites:
Na1 0.105 0.048 0.000 (multiplicity 4)
Nd1 0.075 0.386 0.778 (multiplicity 4)
Nd2 0.079 0.383 0.319 (multiplicity 4)
Nd3 0.081 0.629 0.551 (multiplicity 4)
Nd4 0.107 0.561 0.045 (multiplicity 4)
I1 0.006 0.205 0.534 (multiplicity 4)
I2 0.008 0.846 0.700 (multiplicity 4)
I3 0.044 0.831 0.358 (multiplicity 4)
I4 0.206 0.303 0.003 (multiplicity 4)
I5 0.213 0.620 0.810 (multiplicity 4)
I6 0.218 0.405 0.552 (multiplicity 4)
I7 0.244 0.554 0.255 (multiplicity 4)
N1 0.002 0.482 0.922 (multiplicity 4)
N2 0.008 0.481 0.173 (multiplicity 4)

Most intense lines, 10° ≤ 2θ ≤ 90°, by angle:
d = 3.377 Å, 2θ 26.40, rel. 19, hkl 2 1 3
d = 3.235 Å, 2θ 27.57, rel. 13, hkl 2 3 1
d = 3.201 Å, 2θ 27.88, rel. 22, hkl 1 2 3
d = 3.168 Å, 2θ 28.17, rel. 100, hkl 3 2 2
d = 3.045 Å, 2θ 29.33, rel. 19, hkl 4 1 2
d = 3.017 Å, 2θ 29.61, rel. 28, hkl 0 0 4
d = 2.999 Å, 2θ 29.79, rel. 15, hkl 3 3 0
d = 2.861 Å, 2θ 31.26, rel. 14, hkl 1 1 4
d = 2.421 Å, 2θ 37.13, rel. 18, hkl 4 3 2
d = 2.285 Å, 2θ 39.43, rel. 14, hkl 1 4 3

***

Entry 4:
NaPr4I7N2: calculated powder X-ray diffraction pattern (Cu Ka), based on a crystal structure in Alexandria, relaxed with PBE.

Structure:
Cell: 14.762 11.313 12.157 Å, 90.00 90.00 90.00°
Space group Pna2_1 (No. 33)
Unique sites:
Na1 0.101 0.049 0.000 (multiplicity 4)
Pr1 0.078 0.386 0.773 (multiplicity 4)
Pr2 0.080 0.382 0.311 (multiplicity 4)
Pr3 0.083 0.628 0.544 (multiplicity 4)
Pr4 0.107 0.566 0.040 (multiplicity 4)
I1 0.010 0.202 0.528 (multiplicity 4)
I2 0.013 0.847 0.696 (multiplicity 4)
I3 0.043 0.832 0.353 (multiplicity 4)
I4 0.206 0.303 0.007 (multiplicity 4)
I5 0.219 0.616 0.806 (multiplicity 4)
I6 0.222 0.404 0.545 (multiplicity 4)
I7 0.244 0.563 0.253 (multiplicity 4)
N1 0.003 0.483 0.916 (multiplicity 4)
N2 0.007 0.483 0.167 (multiplicity 4)

Most intense lines, 10° ≤ 2θ ≤ 90°, by angle:
d = 4.506 Å, 2θ 19.70, rel. 17, hkl 3 1 0
d = 3.389 Å, 2θ 26.30, rel. 17, hkl 2 1 3
d = 3.237 Å, 2θ 27.56, rel. 12, hkl 2 3 1
d = 3.215 Å, 2θ 27.75, rel. 20, hkl 1 2 3
d = 3.168 Å, 2θ 28.17, rel. 100, hkl 3 2 2
d = 3.039 Å, 2θ 29.39, rel. 39, hkl 0 0 4
d = 2.994 Å, 2θ 29.84, rel. 15, hkl 3 3 0
d = 2.879 Å, 2θ 31.07, rel. 13, hkl 1 1 4
d = 2.420 Å, 2θ 37.15, rel. 13, hkl 4 3 2
d = 2.236 Å, 2θ 40.34, rel. 14, hkl 1 5 0